# Ta2FeF
Computed powder X-ray diffraction pattern, CuKα. Input: a GGA+U-relaxed structure.

Peak list (9 most intense, 2θ from 10° to 90°, in order of falling intensity)
2θ (°)  I (rel.)  h k l
41.28  100  2 2 0
28.87  52  2 0 0
75.26  33  4 2 2
67.75  21  4 2 0
59.81  17  4 0 0
51.16  15  2 2 2
89.67  11  4 4 0
24.93  2  1 1 1
48.83  1  3 1 1

abc: 6.185 6.185 6.185
angles: 90.00 90.00 90.00
Fractional coordinates of all 16 atoms:
1 Ta 0.250 0.250 0.250
2 Ta 0.250 0.250 0.750
3 Ta 0.250 0.750 0.250
4 Ta 0.250 0.750 0.750
5 Ta 0.750 0.250 0.250
6 Ta 0.750 0.250 0.750
7 Ta 0.750 0.750 0.250
8 Ta 0.750 0.750 0.750
9 Fe 0.000 0.000 0.000
10 Fe 0.000 0.500 0.500
11 Fe 0.500 0.000 0.500
12 Fe 0.500 0.500 0.000
13 F 0.000 0.000 0.500
14 F 0.000 0.500 0.000
15 F 0.500 0.000 0.000
16 F 0.500 0.500 0.500